# 1
Structure and simulated PXRD pattern of NaU2I8 (a DFT-relaxed cell (GGA-PBE, Alexandria); CuKα).

```
data_NaU2I8
_cell_length_a 10.1897
_cell_length_b 10.1897
_cell_length_c 6.2316
_cell_angle_alpha 90.00
_cell_angle_beta 90.00
_cell_angle_gamma 120.00
_symmetry_space_group_name_H-M 'P -3'
_symmetry_Int_Tables_number 147
loop_
_symmetry_equiv_pos_as_xyz
'x,y,z'
'-x,-y,-z'
'-y,x-y,z'
'y,-x+y,-z'
'-x+y,-x,z'
'x-y,x,-z'
loop_
_atom_site_label
_atom_site_fract_x
_atom_site_fract_y
_atom_site_fract_z
_atom_site_occupancy
Na1 0.0000 0.0000 0.0000 1
U1 0.3333 0.6667 0.2360 1
I1 0.1659 0.3336 0.2524 1
I2 0.3333 0.6667 0.7453 1
```

Peak list (6 most intense, 10° ≤ 2θ ≤ 90°, in order of rising 2θ)
5.092 Å, intensity 89, (1 1 0)
4.412 Å, intensity 61, (2 0 0)
3.601 Å, intensity 36, (0 2 1)
2.940 Å, intensity 43, (3 0 0)
2.547 Å, intensity 100, (2 2 0)
1.972 Å, intensity 57, (2 2 2)



# 2
Structure and simulated PXRD pattern of Pr2Al2CuRh5 (a DFT-relaxed cell (GGA-PBE, Alexandria); CuKα).

```
data_Pr2Al2CuRh5
_cell_length_a 10.0116
_cell_length_b 10.0116
_cell_length_c 3.4935
_cell_angle_alpha 90.00
_cell_angle_beta 90.00
_cell_angle_gamma 90.00
_symmetry_space_group_name_H-M 'P 4/m b m'
_symmetry_Int_Tables_number 127
_symmetry_space_group_name_Hall '-P 4 2ab'
loop_
_atom_site_label
_atom_site_fract_x
_atom_site_fract_y
_atom_site_fract_z
_atom_site_occupancy
Pr1 0.1772 0.3228 0.0000 1
Al1 0.1225 0.6225 0.0000 1
Cu1 0.0000 0.0000 0.0000 1
Rh1 0.0000 0.5000 0.5000 1
Rh2 0.0621 0.7946 0.5000 1
```

Peak list (6 most intense, 10° ≤ 2θ ≤ 90°, in order of rising 2θ)
2.754 Å, intensity 55, (2 1 1)
2.486 Å, intensity 31, (2 2 1)
2.428 Å, intensity 76, (4 1 0)
2.346 Å, intensity 100, (3 1 1)
2.174 Å, intensity 33, (3 2 1)
1.418 Å, intensity 28, (4 1 2)



# 3
Structure and simulated PXRD pattern of Sm12TlPt6 (a DFT-relaxed cell (GGA-PBE, Alexandria); CuKα).

```
data_Sm12TlPt6
_cell_length_a 10.2178
_cell_length_b 10.2178
_cell_length_c 10.2178
_cell_angle_alpha 90.00
_cell_angle_beta 90.00
_cell_angle_gamma 90.00
_symmetry_space_group_name_H-M 'I m -3'
_symmetry_Int_Tables_number 204
_symmetry_space_group_name_Hall '-I 2 2 3'
loop_
_atom_site_label
_atom_site_fract_x
_atom_site_fract_y
_atom_site_fract_z
_atom_site_occupancy
Sm1 0.0000 0.3018 0.1807 1
Tl1 0.0000 0.0000 0.0000 1
Pt1 0.0000 0.1362 0.5000 1
```

Peak list (6 most intense, 10° ≤ 2θ ≤ 90°, in order of rising 2θ)
5.109 Å, intensity 16, (2 0 0)
2.731 Å, intensity 100, (3 1 2)
2.004 Å, intensity 30, (4 3 1)
1.703 Å, intensity 16, (6 0 0)
1.658 Å, intensity 21, (5 2 3)
1.188 Å, intensity 15, (7 0 5)



# 4
Structure and simulated PXRD pattern of Li6CaTl8 (a DFT-relaxed cell (GGA-PBE, Alexandria); CuKα).

```
data_Li6CaTl8
_cell_length_a 8.6127
_cell_length_b 8.6127
_cell_length_c 17.2538
_cell_angle_alpha 90.00
_cell_angle_beta 90.00
_cell_angle_gamma 120.00
_symmetry_space_group_name_H-M 'R -3'
_symmetry_Int_Tables_number 148
_symmetry_space_group_name_Hall '-R 3'
loop_
_atom_site_label
_atom_site_fract_x
_atom_site_fract_y
_atom_site_fract_z
_atom_site_occupancy
Li1 0.0138 0.7152 0.2843 1
Ca1 0.0000 0.0000 0.0000 1
Tl1 0.0000 0.0000 0.3797 1
Tl2 0.0030 0.6909 0.1190 1
```

Peak list (6 most intense, 10° ≤ 2θ ≤ 90°, in order of rising 2θ)
3.447 Å, intensity 100, (1 1 3)
2.486 Å, intensity 52, (3 0 0)
2.391 Å, intensity 38, (2 -1 6)
2.016 Å, intensity 21, (4 -2 3)
1.751 Å, intensity 13, (2 -1 9)
1.566 Å, intensity 17, (4 1 3)